No. 1
# SrRh3Pb2
Calculated powder XRD pattern, Cu Kα, 1.54184 Å. Input: a DFT-relaxed cell (PBE, Alexandria).

Structure:
a b c (Å): 6.0033 6.0033 4.2782
angles (deg): 90.00 90.00 120.00
Atoms (fractional coordinates):
1 Sr 0.0000 0.0000 0.0000
2 Rh 0.0000 0.5000 0.7583
3 Rh 0.5000 0.0000 0.7583
4 Rh 0.5000 0.5000 0.7583
5 Pb 0.3333 0.6667 0.2626
6 Pb 0.6667 0.3333 0.2626

Main lines, by intensity (2θ from 15° to 90°):
hkl  two_theta  I_rel
1 1 1  36.6  100
2 0 1  40.6  80
1 0 0  17.1  60
1 1 0  29.8  49
1 0 2  45.9  31
3 0 1  57.4  28
2 2 0  61.8  27
2 1 2  64.4  23

---

No. 2
# TaRh3Pb
Calculated powder XRD pattern, Cu Kα, 1.54184 Å. Input: a DFT-relaxed cell (PBE, Alexandria).

Structure:
a b c (Å): 4.7885 4.7885 4.7885
angles (deg): 90.00 90.00 90.00
Atoms (fractional coordinates):
1 Ta 0.0000 0.0000 0.0000
2 Rh 0.0000 0.0000 0.5000
3 Rh 0.0000 0.5000 0.0000
4 Rh 0.5000 0.0000 0.0000
5 Pb 0.5000 0.5000 0.5000

Main lines, by intensity (2θ from 15° to 90°):
hkl  two_theta  I_rel
2 0 0  37.6  100
1 1 0  26.3  78
2 2 0  54.2  70
1 1 1  32.4  48
2 1 1  46.5  35
2 2 2  67.8  24
3 1 1  64.5  19
3 2 1  74.1  19